This entry pairs a crystal structure of Ba4As4P with its computed X-ray diffraction stick pattern. Radiation: Cu Kα. Structure: a structure optimized by DFT (GGA-PBE).
Peak positions follow from Bragg's law for the DFT cell and can differ from measured ones.

Most intense lines, 2θ = 10–80°, by intensity:
26.7 deg, I = 100.0, (2 2 0)
37.6 deg, I = 45.2, (2 2 2)
38.2 deg, I = 41.8, (4 0 0)
33.6 deg, I = 31.4, (2 1 2)
27.6 deg, I = 28.7, (1 0 2)
25.9 deg, I = 26.3, (0 0 2)
22.9 deg, I = 18.1, (2 0 1)
46.7 deg, I = 17.8, (4 0 2)
43.5 deg, I = 15.7, (3 2 2)
32.7 deg, I = 15.4, (3 1 1)

Atomic structure:
```
data_Ba4As4P
_chemical_formula_sum 'Ba8 As8 P2'
_symmetry_space_group_name_H-M 'P 42/n m c'
_symmetry_Int_Tables_number 137
_cell_length_a 9.427
_cell_length_b 9.427
_cell_length_c 6.873
_cell_angle_alpha 90.00
_cell_angle_beta 90.00
_cell_angle_gamma 90.00
loop_
_symmetry_equiv_pos_as_xyz
'x,y,z'
'-x,-y,-z'
'-y+1/2,x,z+1/2'
'y+1/2,-x,-z+1/2'
'-x+1/2,-y+1/2,z'
'x+1/2,y+1/2,-z'
'y,-x+1/2,z+1/2'
'-y,x+1/2,-z+1/2'
'x+1/2,-y,-z'
'-x+1/2,y,z'
'-y,-x,-z+1/2'
'y,x,z+1/2'
'-x,y+1/2,-z'
'x,-y+1/2,z'
'y+1/2,x+1/2,-z+1/2'
'-y+1/2,-x+1/2,z+1/2'
loop_
_atom_site_label
_atom_site_type_symbol
_atom_site_fract_x
_atom_site_fract_y
_atom_site_fract_z
Ba1 Ba 0.016 0.250 0.069
As1 As 0.030 0.750 0.441
P1 P 0.250 0.750 0.250
```

=====

This entry pairs a crystal structure of ZrP2Pd4 with its computed X-ray diffraction stick pattern. Radiation: Cu Kα. Structure: a structure optimized by DFT (GGA-PBE).
Peak positions follow from Bragg's law for the DFT cell and can differ from measured ones.

Most intense lines, 2θ = 10–80°, by intensity:
35.2 deg, I = 100.0, (2 1 1)
37.9 deg, I = 27.8, (3 1 0)
44.6 deg, I = 25.8, (3 1 1)
46.3 deg, I = 22.2, (0 0 2)
50.1 deg, I = 17.1, (4 1 0)
41.1 deg, I = 17.0, (2 2 1)
61.3 deg, I = 13.2, (3 1 2)
42.9 deg, I = 12.1, (3 0 1)
70.6 deg, I = 11.9, (4 1 2)
66.8 deg, I = 11.6, (5 0 1)

Atomic structure:
```
data_ZrP2Pd4
_chemical_formula_sum 'Zr2 P4 Pd8'
_symmetry_space_group_name_H-M 'P 42/m n m'
_symmetry_Int_Tables_number 136
_symmetry_space_group_name_Hall '-P 4n 2n'
_cell_length_a 7.501
_cell_length_b 7.501
_cell_length_c 3.922
_cell_angle_alpha 90.00
_cell_angle_beta 90.00
_cell_angle_gamma 90.00
loop_
_atom_site_label
_atom_site_type_symbol
_atom_site_fract_x
_atom_site_fract_y
_atom_site_fract_z
Zr1 Zr 0.000 0.000 0.000
P1 P 0.244 0.244 0.500
Pd1 Pd 0.060 0.686 0.500
```

=====

This entry pairs a crystal structure of Li7Tl3Pb with its computed X-ray diffraction stick pattern. Radiation: Cu Kα. Structure: a structure optimized by DFT (GGA-PBE).
Peak positions follow from Bragg's law for the DFT cell and can differ from measured ones.

Most intense lines, 2θ = 10–80°, by intensity:
21.1 deg, I = 100.0, (0 4 2)
26.2 deg, I = 74.1, (0 0 4)
27.8 deg, I = 55.3, (1 1 0)
38.6 deg, I = 52.0, (1 1 4)
17.8 deg, I = 48.1, (0 4 1)
24.9 deg, I = 45.3, (0 6 0)
40.4 deg, I = 40.4, (1 7 0)
37.1 deg, I = 39.6, (1 5 2)
36.5 deg, I = 38.2, (0 6 4)
33.0 deg, I = 37.8, (1 3 2)

Atomic structure:
```
data_Li7Tl3Pb
_chemical_formula_sum 'Li28 Tl12 Pb4'
_symmetry_space_group_name_H-M 'C m c m'
_symmetry_Int_Tables_number 63
_symmetry_space_group_name_Hall '-C 2c 2'
_cell_length_a 3.251
_cell_length_b 21.451
_cell_length_c 13.591
_cell_angle_alpha 90.00
_cell_angle_beta 90.00
_cell_angle_gamma 90.00
loop_
_atom_site_label
_atom_site_type_symbol
_atom_site_fract_x
_atom_site_fract_y
_atom_site_fract_z
Li1 Li 0.000 0.045 0.080
Li2 Li 0.000 0.083 0.646
Li3 Li 0.000 0.154 0.250
Li4 Li 0.000 0.239 0.602
Tl1 Tl 0.000 0.318 0.250
Tl2 Tl 0.000 0.355 0.509
Pb1 Pb 0.000 0.480 0.750
```

=====

This entry pairs a crystal structure of KBeGa2 with its computed X-ray diffraction stick pattern. Radiation: Cu Kα. Structure: a structure optimized by DFT (GGA-PBE).
Peak positions follow from Bragg's law for the DFT cell and can differ from measured ones.

Most intense lines, 2θ = 10–80°, by intensity:
13.6 deg, I = 100.0, (0 0 1)
30.3 deg, I = 64.9, (1 1 2)
30.0 deg, I = 62.1, (1 1 -1)
32.0 deg, I = 47.4, (-1 1 1)
44.5 deg, I = 28.6, (2 2 1)
21.0 deg, I = 22.9, (1 0 1)
49.7 deg, I = 20.9, (0 2 3)
33.4 deg, I = 19.6, (1 2 0)
32.7 deg, I = 19.2, (0 1 -2)
27.5 deg, I = 18.5, (0 0 2)

Atomic structure:
```
data_KBeGa2
_chemical_formula_sum 'K2 Be2 Ga4'
_symmetry_space_group_name_H-M 'P 1'
_symmetry_Int_Tables_number 1
_symmetry_space_group_name_Hall 'P 1'
_cell_length_a 4.725
_cell_length_b 6.082
_cell_length_c 6.794
_cell_angle_alpha 81.58
_cell_angle_beta 73.63
_cell_angle_gamma 78.60
loop_
_atom_site_label
_atom_site_type_symbol
_atom_site_fract_x
_atom_site_fract_y
_atom_site_fract_z
K1 K 0.000 0.000 0.000
K2 K 0.467 0.482 0.045
Be1 Be 0.427 0.270 0.552
Be2 Be 0.608 0.602 0.498
Ga1 Ga 0.086 0.593 0.621
Ga2 Ga 0.356 0.940 0.371
Ga3 Ga 0.680 0.925 0.647
Ga4 Ga 0.946 0.272 0.467
```

=====

This entry pairs a crystal structure of Li2CaGeAu4 with its computed X-ray diffraction stick pattern. Radiation: Cu Kα. Structure: a structure optimized by DFT (GGA-PBE).
Peak positions follow from Bragg's law for the DFT cell and can differ from measured ones.

Most intense lines, 2θ = 10–80°, by intensity:
26.6 deg, I = 100.0, (1 0 4)
39.4 deg, I = 80.6, (1 1 0)
36.3 deg, I = 65.1, (0 1 8)
45.6 deg, I = 21.4, (0 1 11)
48.2 deg, I = 20.9, (0 2 4)
54.7 deg, I = 20.2, (2 0 8)
69.5 deg, I = 19.8, (1 2 8)
10.5 deg, I = 19.7, (0 0 3)
63.9 deg, I = 18.3, (2 1 4)
69.2 deg, I = 15.6, (1 1 15)

Atomic structure:
```
data_Li2CaGeAu4
_chemical_formula_sum 'Li6 Ca3 Ge3 Au12'
_symmetry_space_group_name_H-M 'R -3 m'
_symmetry_Int_Tables_number 166
_symmetry_space_group_name_Hall '-R 3 2"'
_cell_length_a 4.5714
_cell_length_b 4.5714
_cell_length_c 25.3171
_cell_angle_alpha 90.00
_cell_angle_beta 90.00
_cell_angle_gamma 120.00
loop_
_atom_site_label
_atom_site_type_symbol
_atom_site_fract_x
_atom_site_fract_y
_atom_site_fract_z
Li1 Li 0.0000 0.0000 0.2413
Ca1 Ca 0.0000 0.0000 0.0000
Ge1 Ge 0.0000 0.0000 0.5000
Au1 Au 0.0000 0.0000 0.1280
Au2 Au 0.0000 0.0000 0.3944
```

=====

This entry pairs a crystal structure of Tb2ErTmTe5 with its computed X-ray diffraction stick pattern. Radiation: Cu Kα. Structure: a structure optimized by DFT (GGA-PBE).
Peak positions follow from Bragg's law for the DFT cell and can differ from measured ones.

Most intense lines, 2θ = 10–80°, by intensity:
32.6 deg, I = 100.0, (2 0 0)
22.9 deg, I = 90.7, (1 1 0)
32.9 deg, I = 52.4, (1 1 3)
35.4 deg, I = 47.6, (1 0 4)
48.9 deg, I = 38.3, (2 1 4)
46.8 deg, I = 36.5, (2 2 0)
28.5 deg, I = 36.0, (1 0 3)
45.8 deg, I = 24.8, (2 0 4)
15.5 deg, I = 22.4, (0 0 2)
43.8 deg, I = 22.4, (2 1 3)

Atomic structure:
```
data_Tb2ErTmTe5
_chemical_formula_sum 'Tb2 Er1 Tm1 Te5'
_symmetry_space_group_name_H-M 'P 4/m m m'
_symmetry_Int_Tables_number 123
_symmetry_space_group_name_Hall '-P 4 2'
_cell_length_a 5.492
_cell_length_b 5.492
_cell_length_c 11.438
_cell_angle_alpha 90.00
_cell_angle_beta 90.00
_cell_angle_gamma 90.00
loop_
_atom_site_label
_atom_site_type_symbol
_atom_site_fract_x
_atom_site_fract_y
_atom_site_fract_z
Tb1 Tb 0.000 0.000 0.154
Er1 Er 0.500 0.500 0.500
Tm1 Tm 0.500 0.500 0.000
Te1 Te 0.000 0.000 0.500
Te2 Te 0.000 0.500 0.000
Te3 Te 0.500 0.500 0.254
```